Entry 1:
Diffraction record for MgCr4O12. The powder diffractogram is computed, not measured: it uses DFT lattice parameters and positions (PBE+U) and copper Kα.
Kinematic intensities with the Lorentz-polarization factor, no thermal factor.

Principal peaks in the range 10 to 90 degrees two-theta, in order of rising 2θ:
- 2θ 11.68, 7.578 Å, I = 37
- 2θ 16.09, 5.509 Å, I = 15
- 2θ 16.99, 5.219 Å, I = 51
- 2θ 23.48, 3.789 Å, I = 22
- 2θ 24.18, 3.680 Å, I = 100
- 2θ 24.46, 3.639 Å, I = 70
- 2θ 26.87, 3.318 Å, I = 32
- 2θ 32.30, 2.772 Å, I = 17

Structural model:
```
MgCr4O12
1.0
5.545 0.000 0.000
2.642 7.581 0.000
2.651 -0.411 7.585
Mg Cr O
1 4 12
direct
0.000 0.000 0.000
0.047 0.809 0.613
0.443 0.585 0.031
0.553 0.968 0.416
0.946 0.390 0.193
0.057 0.219 0.048
0.148 0.606 0.654
0.178 0.519 0.156
0.326 0.857 0.438
0.328 0.796 0.986
0.402 0.149 0.530
0.596 0.465 0.853
0.665 0.562 0.145
0.676 0.007 0.204
0.811 0.843 0.487
0.848 0.351 0.397
0.938 0.957 0.782
```

---

Entry 2:
Diffraction record for Sr2PrCoO6. The powder diffractogram is computed, not measured: it uses DFT lattice parameters and positions (PBE+U) and copper Kα.
Kinematic intensities with the Lorentz-polarization factor, no thermal factor.

Principal peaks in the range 10 to 90 degrees two-theta, in order of rising 2θ:
- 2θ 18.55, 4.783 Å, I = 7
- 2θ 30.52, 2.929 Å, I = 100
- 2θ 35.96, 2.498 Å, I = 7
- 2θ 43.71, 2.071 Å, I = 33
- 2θ 54.25, 1.691 Å, I = 38
- 2θ 63.53, 1.464 Å, I = 19
- 2θ 72.11, 1.310 Å, I = 18
- 2θ 88.28, 1.107 Å, I = 21

Structural model:
```
Sr2PrCoO6
1.0
0.000 4.142 4.142
4.142 0.000 4.142
4.142 4.142 0.000
Sr Pr Co O
2 1 1 6
direct
0.250 0.250 0.250
0.750 0.750 0.750
0.000 0.000 0.000
0.500 0.500 0.500
0.276 0.276 0.724
0.276 0.724 0.276
0.276 0.724 0.724
0.724 0.276 0.276
0.724 0.276 0.724
0.724 0.724 0.276
```

---

Entry 3:
Diffraction record for FeO2. The powder diffractogram is computed, not measured: it uses DFT lattice parameters and positions (PBE+U) and copper Kα.
Kinematic intensities with the Lorentz-polarization factor, no thermal factor.

Principal peaks in the range 10 to 90 degrees two-theta, in order of rising 2θ:
- 2θ 18.38, 4.828 Å, I = 100
- 2θ 34.62, 2.591 Å, I = 21
- 2θ 39.48, 2.283 Å, I = 59
- 2θ 51.76, 1.766 Å, I = 37
- 2θ 62.05, 1.496 Å, I = 14
- 2θ 65.31, 1.429 Å, I = 15
- 2θ 68.66, 1.367 Å, I = 14
- 2θ 84.97, 1.141 Å, I = 7

Structural model:
```
FeO2
1.0
2.991 0.000 0.000
-1.496 2.591 0.000
0.000 0.000 4.828
Fe O
1 2
direct
0.000 0.000 0.000
0.333 0.667 0.800
0.667 0.333 0.200
```

---

Entry 4:
Diffraction record for Li2MnCO4. The powder diffractogram is computed, not measured: it uses DFT lattice parameters and positions (PBE+U) and copper Kα.
Kinematic intensities with the Lorentz-polarization factor, no thermal factor.

Principal peaks in the range 10 to 90 degrees two-theta, in order of rising 2θ:
- 2θ 12.98, 6.822 Å, I = 70
- 2θ 19.12, 4.641 Å, I = 25
- 2θ 21.73, 4.089 Å, I = 20
- 2θ 26.37, 3.380 Å, I = 100
- 2θ 29.44, 3.034 Å, I = 56
- 2θ 30.00, 2.979 Å, I = 14
- 2θ 33.77, 2.654 Å, I = 43
- 2θ 52.81, 1.733 Å, I = 18

Structural model:
```
Li2MnCO4
1.0
6.855 0.000 0.000
0.000 5.120 0.000
-1.077 0.000 10.988
Li Mn C O
8 4 4 16
direct
0.118 0.153 0.286
0.118 0.347 0.786
0.219 0.185 0.571
0.219 0.315 0.071
0.781 0.685 0.929
0.781 0.815 0.429
0.882 0.653 0.214
0.882 0.847 0.714
0.485 0.646 0.656
0.485 0.854 0.156
0.515 0.146 0.844
0.515 0.354 0.344
0.187 0.687 0.436
0.187 0.813 0.936
0.813 0.187 0.064
0.813 0.313 0.564
0.060 0.701 0.857
0.060 0.799 0.357
0.224 0.064 0.927
0.224 0.436 0.427
0.276 0.676 0.023
0.276 0.824 0.523
0.355 0.173 0.210
0.355 0.327 0.710
0.645 0.673 0.290
0.645 0.827 0.790
0.724 0.176 0.477
0.724 0.324 0.977
0.776 0.564 0.573
0.776 0.936 0.073
0.940 0.201 0.643
0.940 0.299 0.143
```

---

Repeat the fourth record exactly.
Diffraction record for Li2MnCO4. The powder diffractogram is computed, not measured: it uses DFT lattice parameters and positions (PBE+U) and copper Kα.
Kinematic intensities with the Lorentz-polarization factor, no thermal factor.

Principal peaks in the range 10 to 90 degrees two-theta, in order of rising 2θ:
- 2θ 12.98, 6.822 Å, I = 70
- 2θ 19.12, 4.641 Å, I = 25
- 2θ 21.73, 4.089 Å, I = 20
- 2θ 26.37, 3.380 Å, I = 100
- 2θ 29.44, 3.034 Å, I = 56
- 2θ 30.00, 2.979 Å, I = 14
- 2θ 33.77, 2.654 Å, I = 43
- 2θ 52.81, 1.733 Å, I = 18

Structural model:
```
Li2MnCO4
1.0
6.855 0.000 0.000
0.000 5.120 0.000
-1.077 0.000 10.988
Li Mn C O
8 4 4 16
direct
0.118 0.153 0.286
0.118 0.347 0.786
0.219 0.185 0.571
0.219 0.315 0.071
0.781 0.685 0.929
0.781 0.815 0.429
0.882 0.653 0.214
0.882 0.847 0.714
0.485 0.646 0.656
0.485 0.854 0.156
0.515 0.146 0.844
0.515 0.354 0.344
0.187 0.687 0.436
0.187 0.813 0.936
0.813 0.187 0.064
0.813 0.313 0.564
0.060 0.701 0.857
0.060 0.799 0.357
0.224 0.064 0.927
0.224 0.436 0.427
0.276 0.676 0.023
0.276 0.824 0.523
0.355 0.173 0.210
0.355 0.327 0.710
0.645 0.673 0.290
0.645 0.827 0.790
0.724 0.176 0.477
0.724 0.324 0.977
0.776 0.564 0.573
0.776 0.936 0.073
0.940 0.201 0.643
0.940 0.299 0.143
```

---

Q: What is the formula in the fourth record?
A: Li2MnCO4